Record 1
The following is a computed powder XRD pattern of Rb2HfPdO4. It was derived from a structure optimized by DFT (GGA-PBE), using λ = 1.5418 Å (Cu Kα).
Intensities are scaled so that the largest is 100.

Peak list (10 most intense, 2θ = 10–90°, sorted by position)
| two_theta | I/Imax |
| --- | --- |
| 15.83 | 62 |
| 16.34 | 100 |
| 17.70 | 24 |
| 27.28 | 42 |
| 28.20 | 80 |
| 33.24 | 25 |
| 34.85 | 52 |
| 38.72 | 31 |
| 40.75 | 26 |
| 49.74 | 34 |

Structural model:
```
Rb2HfPdO4
1.0
0.000 6.537 10.849
2.801 0.000 10.849
2.801 6.537 0.000
Rb Hf Pd O
4 2 2 8
Direct
0.063 0.063 0.687
0.313 0.313 0.937
0.687 0.687 0.063
0.937 0.937 0.313
0.125 0.125 0.125
0.875 0.875 0.875
0.375 0.375 0.375
0.625 0.625 0.625
0.029 0.289 0.421
0.239 0.579 0.711
0.289 0.029 0.761
0.421 0.761 0.029
0.579 0.239 0.971
0.711 0.971 0.239
0.761 0.421 0.289
0.971 0.711 0.579
```

Record 2
The following is a computed powder XRD pattern of K4VI6. It was derived from a structure optimized by DFT (GGA-PBE), using λ = 1.5418 Å (Cu Kα).
Intensities are scaled so that the largest is 100.

Peak list (10 most intense, 2θ = 10–90°, sorted by position)
| two_theta | I/Imax |
| --- | --- |
| 12.74 | 43 |
| 21.99 | 36 |
| 22.47 | 52 |
| 27.28 | 100 |
| 28.21 | 38 |
| 29.34 | 75 |
| 30.69 | 52 |
| 31.76 | 44 |
| 35.75 | 30 |
| 46.90 | 26 |

Structural model:
```
K4VI6
1.0
9.626 0.000 0.000
0.000 9.626 0.000
0.000 0.000 10.047
K V I
8 2 12
Direct
0.178 0.322 0.250
0.178 0.322 0.750
0.322 0.822 0.250
0.322 0.822 0.750
0.678 0.178 0.250
0.678 0.178 0.750
0.822 0.678 0.250
0.822 0.678 0.750
0.000 0.000 0.000
0.500 0.500 0.500
0.000 0.000 0.286
0.000 0.000 0.714
0.084 0.708 0.000
0.208 0.584 0.500
0.292 0.084 0.000
0.416 0.208 0.500
0.500 0.500 0.214
0.500 0.500 0.786
0.584 0.792 0.500
0.708 0.916 0.000
0.792 0.416 0.500
0.916 0.292 0.000
```

Record 3
The following is a computed powder XRD pattern of Ga3Sn2Pd8. It was derived from a structure optimized by DFT (GGA-PBE), using λ = 1.5418 Å (Cu Kα).
Intensities are scaled so that the largest is 100.

Peak list (10 most intense, 2θ = 10–90°, sorted by position)
| two_theta | I/Imax |
| --- | --- |
| 22.02 | 36 |
| 30.21 | 41 |
| 37.77 | 29 |
| 38.46 | 70 |
| 41.53 | 56 |
| 42.40 | 17 |
| 42.88 | 100 |
| 44.40 | 51 |
| 48.34 | 17 |
| 57.83 | 18 |

Structural model:
```
Ga3Sn2Pd8
1.0
4.744 -4.349 0.000
4.744 4.349 0.000
-3.799 0.000 6.158
Ga Sn Pd
3 2 8
Direct
0.000 0.000 0.000
0.255 0.745 0.500
0.745 0.255 0.500
0.288 0.288 0.877
0.712 0.712 0.123
0.112 0.112 0.425
0.150 0.685 0.114
0.315 0.850 0.886
0.455 0.455 0.658
0.545 0.545 0.342
0.685 0.150 0.114
0.850 0.315 0.886
0.888 0.888 0.575
```

Record 4
The following is a computed powder XRD pattern of Ba3TiNb. It was derived from a structure optimized by DFT (GGA-PBE), using λ = 1.5418 Å (Cu Kα).
Intensities are scaled so that the largest is 100.

Peak list (10 most intense, 2θ = 10–90°, sorted by position)
| two_theta | I/Imax |
| --- | --- |
| 14.79 | 10 |
| 25.76 | 100 |
| 29.83 | 76 |
| 42.69 | 56 |
| 50.53 | 47 |
| 52.94 | 20 |
| 68.24 | 19 |
| 70.27 | 25 |
| 78.16 | 19 |
| 83.93 | 15 |

Structural model:
```
Ba3TiNb
1.0
5.991 0.000 0.000
0.000 5.991 0.000
0.000 0.000 5.991
Ba Ti Nb
3 1 1
Direct
0.000 0.000 0.500
0.000 0.500 0.000
0.500 0.000 0.000
0.000 0.000 0.000
0.500 0.500 0.500
```